(1)
The following is a calculated X-ray powder pattern of CaNpP2O8. It was derived from a crystal structure in the Materials Project, relaxed with PBE, using Cu Kα (weighted mean of Kα1 and Kα2).
Intensities are scaled so that the largest is 100.

```
CaNpP2O8
1.0
6.375 0.000 0.000
1.612 6.497 0.000
0.036 0.062 6.905
Ca Np P O
2 2 4 16
direct
0.093 0.214 0.150 Ca
0.907 0.786 0.850 Ca
0.392 0.281 0.666 Np
0.608 0.719 0.334 Np
0.115 0.693 0.339 P
0.387 0.803 0.835 P
0.613 0.197 0.165 P
0.885 0.307 0.661 P
0.001 0.614 0.169 O
0.066 0.248 0.506 O
0.191 0.976 0.887 O
0.229 0.867 0.289 O
0.300 0.613 0.788 O
0.316 0.522 0.406 O
0.440 0.247 0.002 O
0.499 0.884 0.657 O
0.501 0.116 0.343 O
0.560 0.753 0.998 O
0.684 0.478 0.594 O
0.700 0.387 0.212 O
0.771 0.133 0.711 O
0.809 0.024 0.113 O
0.934 0.752 0.494 O
0.999 0.386 0.831 O
```

Largest 8 diffraction maxima, sorted by position, 5° ≤ 2θ ≤ 70°:
d/Å	I_rel
6.187	86
4.753	100
4.614	75
3.248	80
3.060	56
3.038	71
2.827	60
2.819	74



(2)
The following is a calculated X-ray powder pattern of CaOsO3. It was derived from a crystal structure in the Materials Project, relaxed with PBE, using Cu Kα (weighted mean of Kα1 and Kα2).
Intensities are scaled so that the largest is 100.

```
CaOsO3
1.0
3.952 0.000 0.000
0.000 3.952 0.000
0.000 0.000 3.952
Ca Os O
1 1 3
direct
0.000 0.000 0.000 Ca
0.500 0.500 0.500 Os
0.000 0.500 0.500 O
0.500 0.000 0.500 O
0.500 0.500 0.000 O
```

Largest 7 diffraction maxima, sorted by position, 5° ≤ 2θ ≤ 70°:
d/Å	I_rel
3.952	69
2.795	100
2.282	8
1.976	31
1.767	31
1.613	40
1.397	19



(3)
The following is a calculated X-ray powder pattern of CaOsO3. It was derived from a crystal structure in the Materials Project, relaxed with PBE, using Cu Kα (weighted mean of Kα1 and Kα2).
Intensities are scaled so that the largest is 100.

```
CaOsO3
1.0
5.639 0.000 0.000
0.000 7.760 0.000
0.000 0.000 5.389
Ca Os O
4 4 12
direct
0.061 0.250 0.016 Ca
0.439 0.750 0.516 Ca
0.561 0.250 0.484 Ca
0.939 0.750 0.984 Ca
0.000 0.000 0.500 Os
0.000 0.500 0.500 Os
0.500 0.000 0.000 Os
0.500 0.500 0.000 Os
0.032 0.750 0.397 O
0.199 0.551 0.806 O
0.199 0.949 0.806 O
0.301 0.051 0.306 O
0.301 0.449 0.306 O
0.468 0.250 0.897 O
0.532 0.750 0.103 O
0.699 0.551 0.694 O
0.699 0.949 0.694 O
0.801 0.051 0.194 O
0.801 0.449 0.194 O
0.968 0.250 0.603 O
```

Largest 8 diffraction maxima, sorted by position, 5° ≤ 2θ ≤ 70°:
d/Å	I_rel
3.891	100
2.819	26
2.749	100
2.695	23
1.948	24
1.741	17
1.614	19
1.566	23



(4)
The following is a calculated X-ray powder pattern of Ca2Os2O7. It was derived from a crystal structure in the Materials Project, relaxed with PBE, using Cu Kα (weighted mean of Kα1 and Kα2).
Intensities are scaled so that the largest is 100.

```
Ca2Os2O7
1.0
-3.628 5.119 3.743
3.628 -5.119 3.743
3.628 5.119 -3.743
Ca Os O
4 4 14
direct
0.000 0.000 0.000 Ca
0.500 0.000 0.000 Ca
0.500 0.000 0.500 Ca
0.500 0.500 0.500 Ca
0.000 0.000 0.500 Os
0.000 0.500 0.000 Os
0.000 0.500 0.500 Os
0.500 0.500 0.000 Os
0.049 0.231 0.415 O
0.049 0.634 0.819 O
0.086 0.836 0.250 O
0.316 0.231 0.681 O
0.316 0.634 0.085 O
0.328 0.731 0.597 O
0.365 0.269 0.097 O
0.635 0.731 0.903 O
0.672 0.269 0.403 O
0.684 0.366 0.915 O
0.684 0.769 0.319 O
0.914 0.164 0.750 O
0.951 0.366 0.181 O
0.951 0.769 0.585 O
```

Largest 8 diffraction maxima, sorted by position, 5° ≤ 2θ ≤ 70°:
d/Å	I_rel
6.044	60
5.211	43
3.652	37
3.109	42
3.022	100
2.960	90
2.605	46
1.826	56



(5)
The following is a calculated X-ray powder pattern of Ca2ScOsO6. It was derived from a crystal structure in the Materials Project, relaxed with PBE, using Cu Kα (weighted mean of Kα1 and Kα2).
Intensities are scaled so that the largest is 100.

```
Ca2ScOsO6
1.0
5.509 0.000 0.000
0.000 5.667 0.000
-5.483 0.000 7.883
Ca Sc Os O
4 2 2 12
direct
0.238 0.052 0.250 Ca
0.238 0.448 0.750 Ca
0.762 0.552 0.250 Ca
0.762 0.948 0.750 Ca
0.500 0.000 0.000 Sc
0.500 0.500 0.500 Sc
0.000 0.000 0.500 Os
0.000 0.500 0.000 Os
0.142 0.210 0.950 O
0.142 0.290 0.450 O
0.243 0.696 0.952 O
0.243 0.804 0.452 O
0.336 0.030 0.742 O
0.336 0.470 0.242 O
0.664 0.530 0.758 O
0.664 0.970 0.258 O
0.757 0.196 0.548 O
0.757 0.304 0.048 O
0.858 0.710 0.550 O
0.858 0.790 0.050 O
```

Largest 8 diffraction maxima, sorted by position, 5° ≤ 2θ ≤ 70°:
d/Å	I_rel
4.602	46
4.516	44
3.947	68
2.834	25
2.790	100
2.754	23
1.975	28
1.628	18



(6)
The following is a calculated X-ray powder pattern of Sr2CaOsO6. It was derived from a crystal structure in the Materials Project, relaxed with PBE, using Cu Kα (weighted mean of Kα1 and Kα2).
Intensities are scaled so that the largest is 100.

```
Sr2CaOsO6
1.0
0.000 4.157 4.157
4.157 0.000 4.157
4.157 4.157 0.000
Sr Ca Os O
2 1 1 6
direct
0.250 0.250 0.250 Sr
0.750 0.750 0.750 Sr
0.000 0.000 0.000 Ca
0.500 0.500 0.500 Os
0.268 0.268 0.732 O
0.268 0.732 0.268 O
0.268 0.732 0.732 O
0.732 0.268 0.268 O
0.732 0.268 0.732 O
0.732 0.732 0.268 O
```

Largest 8 diffraction maxima, sorted by position, 5° ≤ 2θ ≤ 70°:
d/Å	I_rel
4.800	38
2.940	100
2.507	18
2.079	33
1.697	40
1.600	8
1.470	20
1.405	8